ZrBeTc4: simulated PXRD pattern (Cu Kα X-rays), based on the PBE geometry in Alexandria.

Structural model:
abc: 7.293 7.293 7.293
angles: 90.00 90.00 90.00
Space group F-43m (No. 216)
Symmetry-distinct sites (fractional):
Zr 0.000 0.000 0.000 [4 per cell]
Be 0.250 0.250 0.750 [4 per cell]
Tc 0.124 0.124 0.376 [16 per cell]

Largest 10 diffraction maxima, by intensity, 15° ≤ 2θ ≤ 90°:
2θ 41.05, rel. 100.0; 2θ 42.96, rel. 64.2; 2θ 21.10, rel. 50.9; 2θ 66.64, rel. 30.8; 2θ 73.45, rel. 27.8; 2θ 89.05, rel. 23.3; 2θ 50.03, rel. 16.7; 2θ 54.88, rel. 11.9; 2θ 24.41, rel. 11.0; 2θ 87.77, rel. 10.9